# 1
Theoretical powder XRD pattern
Compound: Co5Re3
Radiation: Cu Kα X-rays
Structure: a structure optimized by DFT (GGA-PBE)
Neutral-atom scattering factors, no anomalous dispersion.

Top 10 peaks for 10 to 90 degrees two-theta, low angle first:
2θ/deg	d [Å]	Rel. int.
32.1	2.791	297
38.1	2.365	260
40.2	2.241	306
41.8	2.163	577
42.1	2.148	699
43.2	2.093	516
43.7	2.072	363
44.5	2.037	304
44.6	2.032	288
48.9	1.863	1000

Crystal structure
```
data_Co5Re3
_chemical_formula_sum 'Co10 Re6'
_symmetry_space_group_name_H-M 'P -1'
_symmetry_Int_Tables_number 2
_cell_length_a 4.4935
_cell_length_b 6.5695
_cell_length_c 6.9637
_cell_angle_alpha 85.44
_cell_angle_beta 86.37
_cell_angle_gamma 73.01
loop_
_symmetry_equiv_pos_as_xyz
'x,y,z'
'-x,-y,-z'
loop_
_atom_site_label
_atom_site_type_symbol
_atom_site_fract_x
_atom_site_fract_y
_atom_site_fract_z
Co1 Co 0.0550 0.1800 0.1247
Co2 Co 0.2044 0.7910 0.1859
Co3 Co 0.2485 0.4199 0.2897
Co4 Co 0.2530 0.0245 0.4330
Co5 Co 0.2600 0.2914 0.6280
Re1 Re 0.2366 0.6742 0.5547
Re2 Re 0.2821 0.4498 0.9255
Re3 Re 0.3816 0.9636 0.8454
```


# 2
Theoretical powder XRD pattern
Compound: AgBrF5
Radiation: Cu Kα X-rays
Structure: a structure optimized by DFT (GGA-PBE)
Neutral-atom scattering factors, no anomalous dispersion.

Top 10 peaks for 10 to 90 degrees two-theta, low angle first:
2θ/deg	d [Å]	Rel. int.
21.8	4.075	1000
22.5	3.958	1000
23.1	3.850	827
27.5	3.239	393
29.5	3.031	187
30.1	2.969	239
33.4	2.680	268
33.8	2.655	216
36.8	2.445	189
53.0	1.728	199

Crystal structure
```
data_AgBrF5
_chemical_formula_sum 'Ag2 Br2 F10'
_symmetry_space_group_name_H-M 'P -1'
_symmetry_Int_Tables_number 2
_cell_length_a 5.9536
_cell_length_b 5.9846
_cell_length_c 7.7165
_cell_angle_alpha 92.37
_cell_angle_beta 106.83
_cell_angle_gamma 95.76
loop_
_symmetry_equiv_pos_as_xyz
'x,y,z'
'-x,-y,-z'
loop_
_atom_site_label
_atom_site_type_symbol
_atom_site_fract_x
_atom_site_fract_y
_atom_site_fract_z
Ag1 Ag 0.0000 0.0000 0.0000
Ag2 Ag 0.5000 0.0000 0.5000
Br1 Br 0.2485 0.5494 0.7529
F1 F 0.2212 0.3908 0.9516
F2 F 0.2466 0.8383 0.8927
F3 F 0.2529 0.0315 0.2516
F4 F 0.2631 0.7140 0.5343
F5 F 0.2716 0.2819 0.6298
```


# 3
Theoretical powder XRD pattern
Compound: Fe4Ni5Ir2
Radiation: Cu Kα X-rays
Structure: a structure optimized by DFT (GGA-PBE)
Neutral-atom scattering factors, no anomalous dispersion.

Top 10 peaks for 10 to 90 degrees two-theta, low angle first:
2θ/deg	d [Å]	Rel. int.
19.6	4.532	422
21.3	4.166	386
39.3	2.295	655
39.5	2.282	719
40.4	2.231	593
41.0	2.200	1000
43.3	2.092	637
47.8	1.903	951
50.8	1.798	481
58.2	1.584	456

Crystal structure
```
data_Fe4Ni5Ir2
_chemical_formula_sum 'Fe8 Ni10 Ir4'
_symmetry_space_group_name_H-M 'C 1 2/m 1'
_symmetry_Int_Tables_number 12
_cell_length_a 6.5331
_cell_length_b 12.9432
_cell_length_c 4.3997
_cell_angle_alpha 90.00
_cell_angle_beta 132.22
_cell_angle_gamma 90.00
loop_
_symmetry_equiv_pos_as_xyz
'x,y,z'
'-x,-y,-z'
'-x,y,-z'
'x,-y,z'
'x+1/2,y+1/2,z'
'-x+1/2,-y+1/2,-z'
'-x+1/2,y+1/2,-z'
'x+1/2,-y+1/2,z'
loop_
_atom_site_label
_atom_site_type_symbol
_atom_site_fract_x
_atom_site_fract_y
_atom_site_fract_z
Fe1 Fe 0.2473 0.1724 0.2475
Ni1 Ni 0.0000 0.0000 0.0000
Ni2 Ni 0.0000 0.0000 0.5000
Ni3 Ni 0.0000 0.1747 0.5000
Ni4 Ni 0.0000 0.5000 0.5000
Ir1 Ir 0.0000 0.3951 0.0000
```


# 4
Theoretical powder XRD pattern
Compound: Sm2HgPd6
Radiation: Cu Kα X-rays
Structure: a structure optimized by DFT (GGA-PBE)
Neutral-atom scattering factors, no anomalous dispersion.

Top 10 peaks for 10 to 90 degrees two-theta, low angle first:
2θ/deg	d [Å]	Rel. int.
30.9	2.896	126
34.3	2.616	857
38.8	2.321	1000
46.8	1.941	295
48.1	1.892	146
57.1	1.613	233
63.5	1.465	93
64.3	1.448	227
67.4	1.389	194
77.7	1.229	121

Crystal structure
```
data_Sm2HgPd6
_chemical_formula_sum 'Sm2 Hg1 Pd6'
_symmetry_space_group_name_H-M 'P -3 m 1'
_symmetry_Int_Tables_number 164
_symmetry_space_group_name_Hall '-P 3 2"'
_cell_length_a 5.7918
_cell_length_b 5.7918
_cell_length_c 6.1271
_cell_angle_alpha 90.00
_cell_angle_beta 90.00
_cell_angle_gamma 120.00
loop_
_atom_site_label
_atom_site_type_symbol
_atom_site_fract_x
_atom_site_fract_y
_atom_site_fract_z
Sm1 Sm 0.3333 0.6667 0.3129
Hg1 Hg 0.0000 0.0000 0.5000
Pd1 Pd 0.1770 0.3539 0.8270
```


# 5
Theoretical powder XRD pattern
Compound: Sm2Dy7Y2
Radiation: Cu Kα X-rays
Structure: a structure optimized by DFT (GGA-PBE)
Neutral-atom scattering factors, no anomalous dispersion.

Top 10 peaks for 10 to 90 degrees two-theta, low angle first:
2θ/deg	d [Å]	Rel. int.
30.6	2.917	349
31.2	2.866	428
31.5	2.844	515
31.6	2.831	411
32.2	2.783	1000
33.0	2.714	130
34.9	2.568	188
44.2	2.049	112
45.6	1.990	118
56.5	1.629	213

Crystal structure
```
data_Sm2Dy7Y2
_chemical_formula_sum 'Sm2 Dy7 Y2'
_symmetry_space_group_name_H-M 'P -1'
_symmetry_Int_Tables_number 2
_cell_length_a 6.5733
_cell_length_b 6.6723
_cell_length_c 8.9329
_cell_angle_alpha 111.16
_cell_angle_beta 99.37
_cell_angle_gamma 95.30
loop_
_symmetry_equiv_pos_as_xyz
'x,y,z'
'-x,-y,-z'
loop_
_atom_site_label
_atom_site_type_symbol
_atom_site_fract_x
_atom_site_fract_y
_atom_site_fract_z
Sm1 Sm 0.2142 0.1769 0.0720
Dy1 Dy 0.0000 0.5000 0.5000
Dy2 Dy 0.1066 0.9229 0.3308
Dy3 Dy 0.3840 0.9339 0.7170
Dy4 Dy 0.4954 0.6193 0.3625
Y1 Y 0.2532 0.6122 0.9491
```


# 6
Theoretical powder XRD pattern
Compound: K5Li4
Radiation: Cu Kα X-rays
Structure: a structure optimized by DFT (GGA-PBE)
Neutral-atom scattering factors, no anomalous dispersion.

Top 10 peaks for 10 to 90 degrees two-theta, low angle first:
2θ/deg	d [Å]	Rel. int.
18.1	4.900	261
19.3	4.588	811
24.0	3.704	193
24.5	3.640	191
26.6	3.349	306
27.3	3.267	881
27.7	3.223	1000
39.3	2.294	320
48.5	1.877	222
54.6	1.681	208

Crystal structure
```
data_K5Li4
_chemical_formula_sum 'K10 Li8'
_symmetry_space_group_name_H-M 'P 63/m c m'
_symmetry_Int_Tables_number 193
_symmetry_space_group_name_Hall '-P 6c 2'
_cell_length_a 11.3163
_cell_length_b 11.3163
_cell_length_c 7.8415
_cell_angle_alpha 90.00
_cell_angle_beta 90.00
_cell_angle_gamma 120.00
loop_
_atom_site_label
_atom_site_type_symbol
_atom_site_fract_x
_atom_site_fract_y
_atom_site_fract_z
K1 K 0.0000 0.2883 0.2500
K2 K 0.3333 0.6667 0.0000
Li1 Li 0.0000 0.0000 0.0000
Li2 Li 0.0000 0.3654 0.7500
```


# 7
Theoretical powder XRD pattern
Compound: Cs2SiTe4Au
Radiation: Cu Kα X-rays
Structure: a structure optimized by DFT (GGA-PBE)
Neutral-atom scattering factors, no anomalous dispersion.

Top 10 peaks for 10 to 90 degrees two-theta, low angle first:
2θ/deg	d [Å]	Rel. int.
13.7	6.485	313
14.3	6.199	253
21.8	4.085	540
24.0	3.702	492
24.5	3.632	265
28.1	3.179	1000
28.8	3.105	346
33.1	2.708	413
43.7	2.071	360
45.8	1.981	412

Crystal structure
```
data_Cs2SiTe4Au
_chemical_formula_sum 'Cs16 Si8 Te32 Au8'
_symmetry_space_group_name_H-M 'F d d d'
_symmetry_Int_Tables_number 70
_cell_length_a 7.1713
_cell_length_b 15.2169
_cell_length_c 24.7971
_cell_angle_alpha 90.00
_cell_angle_beta 90.00
_cell_angle_gamma 90.00
loop_
_symmetry_equiv_pos_as_xyz
'x,y,z'
'-x,-y,-z'
'-x+1/4,-y+1/4,z'
'x+1/4,y+1/4,-z'
'x,-y+1/4,-z+1/4'
'-x,y+1/4,z+1/4'
'-x+1/4,y,-z+1/4'
'x+1/4,-y,z+1/4'
'x,y+1/2,z+1/2'
'-x,-y+1/2,-z+1/2'
'-x+1/4,-y+3/4,z+1/2'
'x+1/4,y+3/4,-z+1/2'
'x,-y+3/4,-z+3/4'
'-x,y+3/4,z+3/4'
'-x+1/4,y+1/2,-z+3/4'
'x+1/4,-y+1/2,z+3/4'
'x+1/2,y,z+1/2'
'-x+1/2,-y,-z+1/2'
'-x+3/4,-y+1/4,z+1/2'
'x+3/4,y+1/4,-z+1/2'
'x+1/2,-y+1/4,-z+3/4'
'-x+1/2,y+1/4,z+3/4'
'-x+3/4,y,-z+3/4'
'x+3/4,-y,z+3/4'
'x+1/2,y+1/2,z'
'-x+1/2,-y+1/2,-z'
'-x+3/4,-y+3/4,z'
'x+3/4,y+3/4,-z'
'x+1/2,-y+3/4,-z+1/4'
'-x+1/2,y+3/4,z+1/4'
'-x+3/4,y+1/2,-z+1/4'
'x+3/4,-y+1/2,z+1/4'
loop_
_atom_site_label
_atom_site_type_symbol
_atom_site_fract_x
_atom_site_fract_y
_atom_site_fract_z
Cs1 Cs 0.1250 0.1250 0.3048
Si1 Si 0.1250 0.1250 0.6250
Te1 Te 0.0975 0.2805 0.8203
Au1 Au 0.1250 0.1250 0.1250
```


# 8
Theoretical powder XRD pattern
Compound: Pm6Cd2Ag
Radiation: Cu Kα X-rays
Structure: a structure optimized by DFT (GGA-PBE)
Neutral-atom scattering factors, no anomalous dispersion.

Top 10 peaks for 10 to 90 degrees two-theta, low angle first:
2θ/deg	d [Å]	Rel. int.
27.1	3.286	546
28.9	3.092	493
29.8	3.002	327
29.9	2.987	343
30.2	2.957	406
31.6	2.833	1000
32.8	2.731	430
33.2	2.698	544
40.5	2.225	271
58.7	1.573	279

Crystal structure
```
data_Pm6Cd2Ag
_chemical_formula_sum 'Pm12 Cd4 Ag2'
_symmetry_space_group_name_H-M 'P 1 21/c 1'
_symmetry_Int_Tables_number 14
_cell_length_a 6.4079
_cell_length_b 9.5165
_cell_length_c 10.2113
_cell_angle_alpha 90.00
_cell_angle_beta 117.14
_cell_angle_gamma 90.00
loop_
_symmetry_equiv_pos_as_xyz
'x,y,z'
'-x,-y,-z'
'-x,y+1/2,-z+1/2'
'x,-y+1/2,z+1/2'
loop_
_atom_site_label
_atom_site_type_symbol
_atom_site_fract_x
_atom_site_fract_y
_atom_site_fract_z
Pm1 Pm 0.0750 0.1697 0.4721
Pm2 Pm 0.3498 0.6912 0.4407
Pm3 Pm 0.4153 0.0367 0.2973
Cd1 Cd 0.1467 0.1006 0.7790
Ag1 Ag 0.0000 0.0000 0.0000
```


# 9
Theoretical powder XRD pattern
Compound: Sn3As
Radiation: Cu Kα X-rays
Structure: a structure optimized by DFT (GGA-PBE)
Neutral-atom scattering factors, no anomalous dispersion.

Top 10 peaks for 10 to 90 degrees two-theta, low angle first:
2θ/deg	d [Å]	Rel. int.
29.8	2.998	1000
30.7	2.908	53
42.6	2.120	756
52.9	1.731	268
61.8	1.500	88
62.0	1.497	37
70.1	1.342	242
70.3	1.340	105
74.7	1.271	31
78.1	1.224	260

Crystal structure
```
data_Sn3As
_chemical_formula_sum 'Sn6 As2'
_symmetry_space_group_name_H-M 'I 4/m m m'
_symmetry_Int_Tables_number 139
_symmetry_space_group_name_Hall '-I 4 2'
_cell_length_a 4.2433
_cell_length_b 4.2433
_cell_length_c 11.9773
_cell_angle_alpha 90.00
_cell_angle_beta 90.00
_cell_angle_gamma 90.00
loop_
_atom_site_label
_atom_site_type_symbol
_atom_site_fract_x
_atom_site_fract_y
_atom_site_fract_z
Sn1 Sn 0.0000 0.0000 0.0000
Sn2 Sn 0.0000 0.0000 0.2604
As1 As 0.0000 0.0000 0.5000
```


# 10
Theoretical powder XRD pattern
Compound: Ac3Hg2Ge4
Radiation: Cu Kα X-rays
Structure: a structure optimized by DFT (GGA-PBE)
Neutral-atom scattering factors, no anomalous dispersion.

Top 10 peaks for 10 to 90 degrees two-theta, low angle first:
2θ/deg	d [Å]	Rel. int.
27.2	3.283	168
29.4	3.034	176
30.6	2.917	1000
30.8	2.899	175
31.2	2.865	233
37.0	2.427	406
39.1	2.303	283
50.5	1.807	257
56.7	1.623	152
65.6	1.423	183

Crystal structure
```
data_Ac3Hg2Ge4
_chemical_formula_sum 'Ac6 Hg4 Ge8'
_symmetry_space_group_name_H-M 'C 1 2/m 1'
_symmetry_Int_Tables_number 12
_cell_length_a 12.1360
_cell_length_b 4.6064
_cell_length_c 9.3664
_cell_angle_alpha 90.00
_cell_angle_beta 111.08
_cell_angle_gamma 90.00
loop_
_symmetry_equiv_pos_as_xyz
'x,y,z'
'-x,-y,-z'
'-x,y,-z'
'x,-y,z'
'x+1/2,y+1/2,z'
'-x+1/2,-y+1/2,-z'
'-x+1/2,y+1/2,-z'
'x+1/2,-y+1/2,z'
loop_
_atom_site_label
_atom_site_type_symbol
_atom_site_fract_x
_atom_site_fract_y
_atom_site_fract_z
Ac1 Ac 0.0000 0.0000 0.0000
Ac2 Ac 0.1261 0.5000 0.6865
Hg1 Hg 0.1746 0.5000 0.3237
Ge1 Ge 0.0855 0.0000 0.3975
Ge2 Ge 0.2176 0.5000 0.0447
```


# 11
Theoretical powder XRD pattern
Compound: CeMg4Tl2
Radiation: Cu Kα X-rays
Structure: a structure optimized by DFT (GGA-PBE)
Neutral-atom scattering factors, no anomalous dispersion.

Top 10 peaks for 10 to 90 degrees two-theta, low angle first:
2θ/deg	d [Å]	Rel. int.
20.4	4.360	274
22.8	3.899	425
23.9	3.727	1000
29.0	3.083	513
29.8	2.996	783
36.4	2.469	559
37.9	2.376	537
38.5	2.340	301
42.8	2.115	346
60.5	1.530	329

Crystal structure
```
data_CeMg4Tl2
_chemical_formula_sum 'Ce2 Mg8 Tl4'
_symmetry_space_group_name_H-M 'P 42/m n m'
_symmetry_Int_Tables_number 136
_symmetry_space_group_name_Hall '-P 4n 2n'
_cell_length_a 8.7192
_cell_length_b 8.7192
_cell_length_c 4.6793
_cell_angle_alpha 90.00
_cell_angle_beta 90.00
_cell_angle_gamma 90.00
loop_
_atom_site_label
_atom_site_type_symbol
_atom_site_fract_x
_atom_site_fract_y
_atom_site_fract_z
Ce1 Ce 0.0000 0.0000 0.0000
Mg1 Mg 0.0965 0.3452 0.5000
Tl1 Tl 0.2042 0.7958 0.5000
```


# 12
Theoretical powder XRD pattern
Compound: LiUTiSe4
Radiation: Cu Kα X-rays
Structure: a structure optimized by DFT (GGA-PBE)
Neutral-atom scattering factors, no anomalous dispersion.

Top 10 peaks for 10 to 90 degrees two-theta, low angle first:
2θ/deg	d [Å]	Rel. int.
14.1	6.269	946
16.2	5.460	220
25.6	3.476	505
27.1	3.288	283
31.7	2.822	1000
32.8	2.730	469
34.7	2.584	269
43.3	2.089	270
46.3	1.962	705
55.4	1.659	204

Crystal structure
```
data_LiUTiSe4
_chemical_formula_sum 'Li4 U4 Ti4 Se16'
_symmetry_space_group_name_H-M 'I m m a'
_symmetry_Int_Tables_number 74
_symmetry_space_group_name_Hall '-I 2b 2'
_cell_length_a 7.6559
_cell_length_b 8.3553
_cell_length_c 10.9209
_cell_angle_alpha 90.00
_cell_angle_beta 90.00
_cell_angle_gamma 90.00
loop_
_atom_site_label
_atom_site_type_symbol
_atom_site_fract_x
_atom_site_fract_y
_atom_site_fract_z
Li1 Li 0.0000 0.2500 0.1448
U1 U 0.0000 0.0000 0.5000
Ti1 Ti 0.2500 0.2500 0.7500
Se1 Se 0.0000 0.0322 0.7563
Se2 Se 0.2485 0.2500 0.5086
```


# 13
Theoretical powder XRD pattern
Compound: Mg2H5Ir2
Radiation: Cu Kα X-rays
Structure: a structure optimized by DFT (GGA-PBE)
Neutral-atom scattering factors, no anomalous dispersion.

Top 10 peaks for 10 to 90 degrees two-theta, low angle first:
2θ/deg	d [Å]	Rel. int.
11.8	7.494	333
23.7	3.747	734
25.4	3.510	1000
29.5	3.031	689
38.3	2.350	877
39.1	2.306	786
41.9	2.157	334
42.0	2.149	326
45.5	1.993	257
45.6	1.988	262

Crystal structure
```
data_Mg2H5Ir2
_chemical_formula_sum 'Mg2 H5 Ir2'
_symmetry_space_group_name_H-M 'P 1'
_symmetry_Int_Tables_number 1
_cell_length_a 3.0945
_cell_length_b 3.6109
_cell_length_c 7.8556
_cell_angle_alpha 76.75
_cell_angle_beta 78.86
_cell_angle_gamma 89.99
loop_
_symmetry_equiv_pos_as_xyz
'x,y,z'
loop_
_atom_site_label
_atom_site_type_symbol
_atom_site_fract_x
_atom_site_fract_y
_atom_site_fract_z
Mg1 Mg 0.0000 0.0000 0.0000
Mg2 Mg 0.2244 0.2286 0.5398
H1 H 0.0645 0.5667 0.8663
H2 H 0.3850 0.8838 0.2329
H3 H 0.6136 0.1160 0.7671
H4 H 0.7264 0.7314 0.5350
H5 H 0.8520 0.3501 0.3005
Ir1 Ir 0.4102 0.4092 0.1818
Ir2 Ir 0.6178 0.6205 0.7579
```